Structure and calculated powder diffractogram of ZnSnOsO6 (a GGA-PBE-relaxed structure; Cu Kα, 1.54184 Å).
Peak positions follow from Bragg's law for the DFT cell and can differ from measured ones.

Top 8 peaks for 2θ from 15° to 90°, low angle first:
2θ (°)	Rel. int.
22.2	30.9
28.1	100.0
34.7	50.2
40.3	14.9
45.3	27.7
54.1	46.3
58.3	26.5
62.3	17.6

Atomic structure:
Unit cell a=5.1634 b=5.1634 c=8.9947 alpha=90.00 beta=90.00 gamma=120.00
Fractional positions:
Zn 0.3333 0.6667 0.2500
Zn 0.6667 0.3333 0.7500
Sn 0.0000 0.0000 0.0000
Sn 0.0000 0.0000 0.5000
Os 0.3333 0.6667 0.7500
Os 0.6667 0.3333 0.2500
O 0.0226 0.3548 0.6290
O 0.0226 0.6678 0.8710
O 0.3322 0.3548 0.8710
O 0.3322 0.9774 0.6290
O 0.3548 0.0226 0.1290
O 0.3548 0.3322 0.3710
O 0.6452 0.6678 0.6290
O 0.6452 0.9774 0.8710
O 0.6678 0.0226 0.3710
O 0.6678 0.6452 0.1290
O 0.9774 0.3322 0.1290
O 0.9774 0.6452 0.3710